No. 1
Structure and computed X-ray powder pattern of KNaSb4O12 (a crystal structure in Alexandria, relaxed with PBE; Cu Ka).
Kinematic intensities with the Lorentz-polarization factor, no thermal factor.

Structural model:
a b c (Å): 5.5966 5.5966 7.9119
angles (deg): 90.00 90.00 90.00
Positions (direct):
K 0.0000 0.0000 0.0000
Na 0.5000 0.5000 0.5000
Sb 0.0000 0.5000 0.2506
Sb 0.0000 0.5000 0.7494
Sb 0.5000 0.0000 0.2506
Sb 0.5000 0.0000 0.7494
O 0.0000 0.5000 0.0000
O 0.0000 0.5000 0.5000
O 0.2532 0.2532 0.2571
O 0.2532 0.2532 0.7429
O 0.2532 0.7468 0.2571
O 0.2532 0.7468 0.7429
O 0.5000 0.0000 0.0000
O 0.5000 0.0000 0.5000
O 0.7468 0.2532 0.2571
O 0.7468 0.2532 0.7429
O 0.7468 0.7468 0.2571
O 0.7468 0.7468 0.7429

The 11 most intense peaks (2θ from 5° to 70°), sorted by position:
2θ 19.43, I = 4
2θ 22.47, I = 100
2θ 31.99, I = 79
2θ 37.70, I = 2
2θ 39.44, I = 7
2θ 45.87, I = 33
2θ 50.25, I = 1
2θ 51.65, I = 40
2θ 57.01, I = 31
2θ 60.82, I = 1
2θ 66.88, I = 19

No. 2
Structure and computed X-ray powder pattern of K4Na2Si6O15 (a crystal structure in Alexandria, relaxed with PBE; Cu Ka).
Kinematic intensities with the Lorentz-polarization factor, no thermal factor.

Structural model:
a b c (Å): 10.7091 10.7091 12.8653
angles (deg): 115.93 115.93 40.57
Positions (direct):
K 0.0617 0.8117 0.8347
K 0.0746 0.4232 0.8343
K 0.1883 0.9383 0.6653
K 0.4232 0.0746 0.3343
K 0.5768 0.9254 0.6657
K 0.8117 0.0617 0.3347
K 0.9254 0.5768 0.1657
K 0.9383 0.1883 0.1653
Na 0.3304 0.5071 0.4098
Na 0.4929 0.6696 0.0902
Na 0.5071 0.3304 0.9098
Na 0.6696 0.4929 0.5902
Si 0.0455 0.2574 0.5010
Si 0.1804 0.6856 0.1142
Si 0.2574 0.0455 0.0010
Si 0.2759 0.3752 0.6173
Si 0.3144 0.8196 0.3859
Si 0.3752 0.2759 0.1173
Si 0.6248 0.7241 0.8827
Si 0.6856 0.1804 0.6142
Si 0.7241 0.6248 0.3827
Si 0.7426 0.9545 0.9990
Si 0.8196 0.3144 0.8858
Si 0.9545 0.7426 0.4990
O 0.0253 0.2598 0.6169
O 0.0606 0.1172 0.8965
O 0.1172 0.0606 0.3965
O 0.1706 0.5618 0.5671
O 0.1983 0.2714 0.5182
O 0.2039 0.5077 0.1015
O 0.2549 0.4263 0.7480
O 0.2598 0.0253 0.1169
O 0.2714 0.1983 0.0182
O 0.2709 0.7291 0.2500
O 0.2753 0.6408 0.0210
O 0.3592 0.7247 0.4790
O 0.4263 0.2549 0.2480
O 0.4382 0.8294 0.9329
O 0.4923 0.7961 0.3985
O 0.5077 0.2039 0.6015
O 0.5618 0.1706 0.0671
O 0.5737 0.7451 0.7520
O 0.6408 0.2753 0.5210
O 0.7247 0.3592 0.9790
O 0.7291 0.2709 0.7500
O 0.7286 0.8017 0.9818
O 0.7402 0.9747 0.8831
O 0.7451 0.5737 0.2520
O 0.7961 0.4923 0.8985
O 0.8017 0.7286 0.4818
O 0.8294 0.4382 0.4329
O 0.8828 0.9394 0.6035
O 0.9394 0.8828 0.1035
O 0.9747 0.7402 0.3831

The 12 most intense peaks (2θ from 5° to 70°), sorted by position:
2θ 14.03, I = 26
2θ 25.50, I = 88
2θ 25.78, I = 65
2θ 27.87, I = 59
2θ 28.53, I = 40
2θ 28.89, I = 100
2θ 30.29, I = 73
2θ 30.61, I = 36
2θ 31.89, I = 46
2θ 32.03, I = 48
2θ 33.48, I = 55
2θ 37.01, I = 36

No. 3
Structure and computed X-ray powder pattern of KNaSnO3 (a crystal structure in Alexandria, relaxed with PBE; Cu Ka).
Kinematic intensities with the Lorentz-polarization factor, no thermal factor.

Structural model:
a b c (Å): 6.5676 6.5676 5.7258
angles (deg): 94.23 94.23 126.32
Positions (direct):
K 0.2433 0.7567 0.7500
K 0.7567 0.2433 0.2500
Na 0.0788 0.9212 0.2500
Na 0.9212 0.0788 0.7500
Sn 0.4409 0.5591 0.2500
Sn 0.5591 0.4409 0.7500
O 0.2465 0.3115 0.5045
O 0.2739 0.7261 0.2500
O 0.3115 0.2465 0.0045
O 0.6885 0.7535 0.9955
O 0.7261 0.2739 0.7500
O 0.7535 0.6885 0.4955

The 12 most intense peaks (2θ from 5° to 70°), sorted by position:
2θ 15.12, I = 39
2θ 16.94, I = 100
2θ 21.85, I = 28
2θ 30.51, I = 94
2θ 31.68, I = 33
2θ 33.03, I = 65
2θ 33.79, I = 15
2θ 40.62, I = 31
2θ 45.58, I = 14
2θ 48.31, I = 18
2θ 52.58, I = 17
2θ 54.03, I = 16

No. 4
Structure and computed X-ray powder pattern of K4Na2TeO6 (a crystal structure in Alexandria, relaxed with PBE; Cu Ka).
Kinematic intensities with the Lorentz-polarization factor, no thermal factor.

Structural model:
a b c (Å): 6.7445 10.0874 7.3494
angles (deg): 90.00 122.69 90.00
Positions (direct):
K 0.0034 0.1774 0.0198
K 0.0034 0.3226 0.5198
K 0.1881 0.5143 0.9326
K 0.1881 0.9857 0.4326
K 0.8119 0.0143 0.5674
K 0.8119 0.4857 0.0674
K 0.9966 0.6774 0.4802
K 0.9966 0.8226 0.9802
Na 0.4869 0.2394 0.7063
Na 0.4869 0.2606 0.2063
Na 0.5131 0.7394 0.7937
Na 0.5131 0.7606 0.2937
Te 0.5000 0.0000 0.0000
Te 0.5000 0.5000 0.5000
O 0.2457 0.6255 0.2958
O 0.2457 0.8745 0.7958
O 0.2831 0.1531 0.8491
O 0.2831 0.3469 0.3491
O 0.3852 0.5111 0.6990
O 0.3852 0.9889 0.1990
O 0.6148 0.0111 0.8010
O 0.6148 0.4889 0.3010
O 0.7169 0.6531 0.6509
O 0.7169 0.8469 0.1509
O 0.7543 0.1255 0.2042
O 0.7543 0.3745 0.7042

The 12 most intense peaks (2θ from 5° to 70°), sorted by position:
2θ 15.61, I = 19
2θ 16.84, I = 100
2θ 17.58, I = 30
2θ 23.60, I = 25
2θ 27.90, I = 22
2θ 28.02, I = 43
2θ 30.09, I = 41
2θ 30.28, I = 20
2θ 37.79, I = 62
2θ 38.69, I = 38
2θ 39.09, I = 15
2θ 44.24, I = 20

No. 5
Structure and computed X-ray powder pattern of KNa5TeO6 (a crystal structure in Alexandria, relaxed with PBE; Cu Ka).
Kinematic intensities with the Lorentz-polarization factor, no thermal factor.

Structural model:
a b c (Å): 6.7419 6.7419 11.2705
angles (deg): 90.83 90.83 122.19
Positions (direct):
K 0.1740 0.8260 0.7500
K 0.8260 0.1740 0.2500
Na 0.0000 0.0000 0.0000
Na 0.0000 0.0000 0.5000
Na 0.0000 0.5000 0.0000
Na 0.2157 0.3569 0.7422
Na 0.3569 0.2157 0.2422
Na 0.3633 0.6367 0.2500
Na 0.5000 0.0000 0.5000
Na 0.6367 0.3633 0.7500
Na 0.6431 0.7843 0.7578
Na 0.7843 0.6431 0.2578
Te 0.5000 0.5000 0.0000
Te 0.5000 0.5000 0.5000
O 0.2124 0.3562 0.1007
O 0.2182 0.3449 0.3937
O 0.3449 0.2182 0.8937
O 0.3550 0.6297 0.8978
O 0.3562 0.2124 0.6007
O 0.3703 0.6450 0.6022
O 0.6297 0.3550 0.3978
O 0.6438 0.7876 0.3993
O 0.6450 0.3703 0.1022
O 0.6551 0.7818 0.1063
O 0.7818 0.6551 0.6063
O 0.7876 0.6438 0.8993

The 12 most intense peaks (2θ from 5° to 70°), sorted by position:
2θ 15.01, I = 76
2θ 15.54, I = 100
2θ 15.73, I = 18
2θ 17.61, I = 15
2θ 21.84, I = 60
2θ 22.47, I = 22
2θ 31.77, I = 17
2θ 34.31, I = 30
2θ 34.89, I = 30
2θ 35.66, I = 29
2θ 38.81, I = 13
2θ 54.49, I = 17